# MoPd6
Simulated PXRD pattern, Cu Kα X-rays. Input: a crystal structure in OQMD, relaxed with GGA-PBE.
Lines closer than 0.1° are merged.

Structural model:
```
data_MoPd6
_chemical_formula_sum 'Mo4 Pd24'
_symmetry_space_group_name_H-M 'F m -3 m'
_symmetry_Int_Tables_number 225
_symmetry_space_group_name_Hall '-F 4 2 3'
_cell_length_a 7.721
_cell_length_b 7.721
_cell_length_c 7.721
_cell_angle_alpha 90.00
_cell_angle_beta 90.00
_cell_angle_gamma 90.00
loop_
_atom_site_label
_atom_site_type_symbol
_atom_site_fract_x
_atom_site_fract_y
_atom_site_fract_z
Mo1 Mo 0.000 0.000 0.000
Pd1 Pd 0.000 0.250 0.250
```

Main lines, low angle first (10° ≤ 2θ ≤ 90°):
(1 1 1), 2θ 19.9, rel. 11
(2 0 0), 2θ 23.0, rel. 8
(2 2 0), 2θ 32.8, rel. 7
(3 1 1), 2θ 38.7, rel. 6
(2 2 2), 2θ 40.5, rel. 100
(4 0 0), 2θ 47.1, rel. 48
(4 2 0), 2θ 53.0, rel. 3
(4 4 0), 2θ 68.8, rel. 30
(6 2 2), 2θ 83.0, rel. 36
(4 4 4), 2θ 87.5, rel. 11